1.
Structure and theoretical powder XRD pattern of LiCuBO3 (a DFT-relaxed cell (GGA-PBE, the Materials Project); CuKα).
Peak positions follow from Bragg's law for the DFT cell and can differ from measured ones.

The 10 most intense peaks (2θ from 10° to 90°), by intensity:
2θ (°)	Rel. int.
36.3	100.0
21.9	90.3
28.6	58.4
21.8	46.7
38.3	29.3
53.9	25.9
44.7	21.8
48.5	20.3
38.5	19.0
31.4	17.9

a b c (Å): 8.1070 3.1186 8.1181
angles (deg): 90.00 119.64 90.00
Atoms (fractional coordinates):
Li1 0.0000 0.0000 0.0000
Li2 0.2729 0.0000 0.6114
Li3 0.6101 0.0000 0.3373
Cu1 0.3066 0.5000 0.9563
Cu2 0.6550 0.5000 0.6887
Cu3 0.9244 0.5000 0.3093
B1 0.2948 0.5000 0.3178
B2 0.6274 0.0000 0.9833
B3 0.9612 0.5000 0.6496
O1 0.0257 0.5000 0.8413
O2 0.0890 0.5000 0.5842
O3 0.0983 0.5000 0.2116
O4 0.3836 0.5000 0.5129
O5 0.4007 0.5000 0.2274
O6 0.4303 0.0000 0.8988
O7 0.7103 0.0000 0.8687
O8 0.7389 0.0000 0.1770
O9 0.7696 0.5000 0.5217

---

2.
Structure and theoretical powder XRD pattern of LiCuBO3 (a DFT-relaxed cell (GGA-PBE, the Materials Project); CuKα).
Peak positions follow from Bragg's law for the DFT cell and can differ from measured ones.

The 10 most intense peaks (2θ from 10° to 90°), by intensity:
2θ (°)	Rel. int.
10.5	100.0
32.3	82.2
31.9	33.4
34.7	21.5
60.7	17.4
26.4	16.0
49.5	15.1
55.8	15.0
34.2	13.0
24.8	13.0

a b c (Å): 5.1682 5.2450 16.8184
angles (deg): 90.00 90.00 90.00
Atoms (fractional coordinates):
Li1 0.2490 0.0063 0.2358
Li2 0.2490 0.4937 0.7358
Li3 0.2510 0.5063 0.2358
Li4 0.2510 0.9937 0.7358
Li5 0.7490 0.0063 0.2642
Li6 0.7490 0.4937 0.7642
Li7 0.7510 0.5063 0.2642
Li8 0.7510 0.9937 0.7642
Cu1 0.0047 0.6890 0.5686
Cu2 0.0047 0.8110 0.0686
Cu3 0.4953 0.1890 0.5686
Cu4 0.4953 0.3110 0.0686
Cu5 0.5047 0.6890 0.9314
Cu6 0.5047 0.8110 0.4314
Cu7 0.9953 0.1890 0.9314
Cu8 0.9953 0.3110 0.4314
B1 0.0128 0.7036 0.8745
B2 0.0128 0.7964 0.3745
B3 0.4872 0.2036 0.8745
B4 0.4872 0.2964 0.3745
B5 0.5128 0.7036 0.6255
B6 0.5128 0.7964 0.1255
B7 0.9872 0.2036 0.6255
B8 0.9872 0.2964 0.1255
O1 0.0458 0.7482 0.7955
O2 0.0458 0.7518 0.2955
O3 0.1476 0.6628 0.4350
O4 0.1476 0.8372 0.9350
O5 0.1657 0.0140 0.6020
O6 0.1657 0.4860 0.1020
O7 0.3343 0.5140 0.6020
O8 0.3343 0.9860 0.1020
O9 0.3524 0.1628 0.4350
O10 0.3524 0.3372 0.9350
O11 0.4542 0.2482 0.7955
O12 0.4542 0.2518 0.2955
O13 0.5458 0.7482 0.7045
O14 0.5458 0.7518 0.2045
O15 0.6476 0.6628 0.0650
O16 0.6476 0.8372 0.5650
O17 0.6657 0.0140 0.8980
O18 0.6657 0.4860 0.3980
O19 0.8343 0.5140 0.8980
O20 0.8343 0.9860 0.3980
O21 0.8524 0.1628 0.0650
O22 0.8524 0.3372 0.5650
O23 0.9542 0.2482 0.7045
O24 0.9542 0.2518 0.2045

---

3.
Structure and theoretical powder XRD pattern of LiCuBO3 (a DFT-relaxed cell (GGA-PBE, the Materials Project); CuKα).
Peak positions follow from Bragg's law for the DFT cell and can differ from measured ones.

The 10 most intense peaks (2θ from 10° to 90°), by intensity:
2θ (°)	Rel. int.
22.0	100.0
36.9	70.4
38.5	24.3
49.1	22.9
56.1	21.4
33.8	21.1
54.4	19.5
65.6	12.2
45.3	12.1
39.1	11.0

a b c (Å): 8.0953 8.0953 3.0503
angles (deg): 90.00 90.00 120.00
Atoms (fractional coordinates):
Li1 0.0186 0.2981 0.0000
Li2 0.2795 0.9814 0.0000
Li3 0.7019 0.7205 0.0000
Cu1 0.3804 0.3670 0.5000
Cu2 0.6330 0.0134 0.5000
Cu3 0.9866 0.6196 0.5000
B1 0.0000 0.0000 0.5000
B2 0.3333 0.6667 0.0000
B3 0.6667 0.3333 0.0000
O1 0.0856 0.1967 0.5000
O2 0.1111 0.9144 0.5000
O3 0.1370 0.5841 0.0000
O4 0.4159 0.5529 0.0000
O5 0.4471 0.8630 0.0000
O6 0.4698 0.2554 0.0000
O7 0.7446 0.2144 0.0000
O8 0.7856 0.5302 0.0000
O9 0.8033 0.8889 0.5000

---

4.
Structure and theoretical powder XRD pattern of Li5Cu4B4O12 (a DFT-relaxed cell (GGA-PBE, the Materials Project); CuKα).
Peak positions follow from Bragg's law for the DFT cell and can differ from measured ones.

The 10 most intense peaks (2θ from 10° to 90°), by intensity:
2θ (°)	Rel. int.
35.0	100.0
19.9	97.6
21.8	73.8
21.9	56.8
34.7	55.1
41.0	45.6
34.8	41.2
21.6	29.7
41.2	26.4
49.1	25.9

a b c (Å): 5.1602 5.1693 10.2659
angles (deg): 89.96 88.38 60.25
Atoms (fractional coordinates):
Li1 0.0000 0.0000 0.0000
Li2 0.0015 0.9668 0.4091
Li3 0.2926 0.6306 0.6149
Li4 0.3178 0.6687 0.8047
Li5 0.3525 0.6372 0.1787
Cu1 0.3409 0.2628 0.9637
Cu2 0.6393 0.9737 0.2047
Cu3 0.6963 0.6200 0.4481
Cu4 0.9860 0.3029 0.7038
B1 0.0046 0.3042 0.2049
B2 0.3218 0.2892 0.4470
B3 0.6596 0.9637 0.7082
B4 0.6822 0.6382 0.9656
O1 0.0213 0.0318 0.2044
O2 0.0804 0.2580 0.4957
O3 0.2486 0.3334 0.1643
O4 0.3040 0.5612 0.4418
O5 0.4069 0.6582 0.9771
O6 0.4138 0.2468 0.7393
O7 0.5832 0.0359 0.4050
O8 0.6082 0.7273 0.6769
O9 0.7129 0.8800 0.0050
O10 0.7428 0.5556 0.2446
O11 0.9279 0.3804 0.9149
O12 0.9458 0.9188 0.7109

---

5.
Structure and theoretical powder XRD pattern of LiCuBO3 (a DFT-relaxed cell (GGA-PBE, the Materials Project); CuKα).
Peak positions follow from Bragg's law for the DFT cell and can differ from measured ones.

The 10 most intense peaks (2θ from 10° to 90°), by intensity:
2θ (°)	Rel. int.
21.8	100.0
37.5	52.1
34.4	49.5
19.7	48.0
40.4	29.7
26.6	27.2
52.3	26.9
41.2	22.1
19.5	17.5
27.4	17.2

a b c (Å): 5.2230 5.2230 9.5879
angles (deg): 91.02 91.02 119.28
Atoms (fractional coordinates):
Li1 0.0012 0.9988 0.5000
Li2 0.3146 0.3335 0.2495
Li3 0.3335 0.3146 0.7495
Li4 0.9988 0.0012 0.0000
Cu1 0.3290 0.6793 0.9720
Cu2 0.6406 0.9843 0.7230
Cu3 0.6793 0.3290 0.4720
Cu4 0.9843 0.6406 0.2230
B1 0.0007 0.6631 0.7185
B2 0.3209 0.6592 0.4681
B3 0.6592 0.3209 0.9681
B4 0.6631 0.0007 0.2185
O1 0.0193 0.9302 0.7074
O2 0.0783 0.6942 0.4279
O3 0.2411 0.6311 0.7652
O4 0.3070 0.3935 0.4595
O5 0.3935 0.3070 0.9595
O6 0.4061 0.7393 0.1790
O7 0.5787 0.9111 0.5153
O8 0.6311 0.2411 0.2652
O9 0.6942 0.0783 0.9279
O10 0.7393 0.4061 0.6790
O11 0.9111 0.5787 0.0153
O12 0.9302 0.0193 0.2074

---

6.
Structure and theoretical powder XRD pattern of Li2CuB4Pb2O10 (a DFT-relaxed cell (GGA-PBE, the Materials Project); CuKα).
Peak positions follow from Bragg's law for the DFT cell and can differ from measured ones.

The 10 most intense peaks (2θ from 10° to 90°), by intensity:
2θ (°)	Rel. int.
30.6	100.0
12.6	83.9
19.4	80.8
32.4	50.7
26.5	50.6
25.8	45.7
20.8	42.1
27.3	38.4
22.1	37.2
27.0	31.0

a b c (Å): 8.8983 8.8983 14.0637
angles (deg): 123.50 123.50 31.73
Atoms (fractional coordinates):
Li1 0.0033 0.6243 0.8638
Li2 0.3757 0.9967 0.6362
Li3 0.6243 0.0033 0.3638
Li4 0.9967 0.3757 0.1362
Cu1 0.0000 0.5000 0.0000
Cu2 0.5000 0.0000 0.5000
B1 0.1581 0.5363 0.6805
B2 0.1660 0.5833 0.5212
B3 0.4167 0.8340 0.9788
B4 0.4637 0.8419 0.8195
B5 0.5363 0.1581 0.1805
B6 0.5833 0.1660 0.0212
B7 0.8340 0.4167 0.4788
B8 0.8419 0.4637 0.3195
Pb1 0.1474 0.7888 0.3614
Pb2 0.2112 0.8526 0.1386
Pb3 0.7888 0.1474 0.8614
Pb4 0.8526 0.2112 0.6386
O1 0.0439 0.7942 0.4850
O2 0.0640 0.6803 0.7823
O3 0.0676 0.6953 0.6197
O4 0.2058 0.9561 0.0150
O5 0.2455 0.3464 0.1442
O6 0.2986 0.3677 0.9710
O7 0.3047 0.9324 0.8803
O8 0.3197 0.9360 0.7177
O9 0.3464 0.2455 0.6442
O10 0.3677 0.2986 0.4710
O11 0.6323 0.7014 0.5290
O12 0.6536 0.7545 0.3558
O13 0.6803 0.0640 0.2823
O14 0.6953 0.0676 0.1197
O15 0.7014 0.6323 0.0290
O16 0.7545 0.6536 0.8558
O17 0.7942 0.0439 0.9850
O18 0.9324 0.3047 0.3803
O19 0.9360 0.3197 0.2177
O20 0.9561 0.2058 0.5150